No. 1
Structure and computed XRD peak list of Pm2Tm2Ge3 (the GGA-PBE geometry in Alexandria; CuKα).
Lines closer than 0.1° are merged.

Structure:
abc: 14.256 4.251 7.557
angles: 90.00 107.90 90.00
Space group C2/m (No. 12)
One atom of each set of equivalent atoms:
Pm: 0.121 0.000 0.388 [4 per cell]
Tm: 0.161 0.500 0.836 [4 per cell]
Ge: 0.000 0.500 0.500 [2 per cell]
Ge: 0.221 0.500 0.233 [4 per cell]

Largest 10 diffraction maxima, low angle first, 5° ≤ 2θ ≤ 70°:
6.783 Å, I = 25; 3.400 Å, I = 53; 3.091 Å, I = 100; 2.837 Å, I = 53; 2.637 Å, I = 32; 2.287 Å, I = 25; 2.152 Å, I = 35; 2.125 Å, I = 32; 2.033 Å, I = 26; 1.701 Å, I = 30

---

No. 2
Structure and computed XRD peak list of Cs3PmY2Se6 (the GGA-PBE geometry in Alexandria; CuKα).
Lines closer than 0.1° are merged.

Structure:
abc: 7.456 12.914 8.745
angles: 90.00 106.51 90.00
Space group C2/m (No. 12)
One atom of each set of equivalent atoms:
Cs: 0.000 0.000 0.000 [2 per cell]
Cs: 0.000 0.335 0.000 [4 per cell]
Pm: 0.000 0.500 0.500 [2 per cell]
Y: 0.000 0.167 0.500 [4 per cell]
Se: 0.223 0.000 0.687 [4 per cell]
Se: 0.232 0.330 0.687 [8 per cell]

Largest 10 diffraction maxima, low angle first, 5° ≤ 2θ ≤ 70°:
4.192 Å, I = 7; 3.207 Å, I = 100; 2.995 Å, I = 8; 2.403 Å, I = 32; 2.152 Å, I = 36; 2.085 Å, I = 9; 1.787 Å, I = 18; 1.603 Å, I = 9; 1.502 Å, I = 8; 1.375 Å, I = 16

---

No. 3
Structure and computed XRD peak list of Mg3CuNi2 (the GGA-PBE geometry in Alexandria; CuKα).
Lines closer than 0.1° are merged.

Structure:
abc: 4.413 13.268 2.997
angles: 90.00 90.00 90.00
Space group Cmmm (No. 65)
One atom of each set of equivalent atoms:
Mg: 0.000 0.000 0.000 [2 per cell]
Mg: 0.000 0.328 0.000 [4 per cell]
Cu: 0.000 0.500 0.500 [2 per cell]
Ni: 0.000 0.163 0.500 [4 per cell]

Largest 10 diffraction maxima, low angle first, 5° ≤ 2θ ≤ 70°:
3.124 Å, I = 28; 2.997 Å, I = 13; 2.209 Å, I = 53; 2.162 Å, I = 100; 1.778 Å, I = 10; 1.562 Å, I = 17; 1.498 Å, I = 7; 1.398 Å, I = 2; 1.385 Å, I = 4; 1.351 Å, I = 4

---

No. 4
Structure and computed XRD peak list of CaCrPbCl6 (the GGA-PBE geometry in Alexandria; CuKα).
Lines closer than 0.1° are merged.

Structure:
abc: 6.7761 6.7761 12.5593
angles: 90.00 90.00 120.00
Space group P-31c (No. 163)
One atom of each set of equivalent atoms:
Ca: 0.3333 0.6667 0.2500 [2 per cell]
Cr: 0.3333 0.6667 0.7500 [2 per cell]
Pb: 0.0000 0.0000 0.0000 [2 per cell]
Cl: 0.0277 0.3690 0.6345 [12 per cell]

Largest 10 diffraction maxima, low angle first, 5° ≤ 2θ ≤ 70°:
5.868 Å, I = 27; 4.288 Å, I = 100; 3.388 Å, I = 16; 2.982 Å, I = 29; 2.768 Å, I = 15; 2.658 Å, I = 28; 2.303 Å, I = 49; 2.091 Å, I = 31; 1.956 Å, I = 22; 1.576 Å, I = 13

---

No. 5
Structure and computed XRD peak list of Nd2Be4Si3Pt (the GGA-PBE geometry in Alexandria; CuKα).
Lines closer than 0.1° are merged.

Structure:
abc: 3.932 3.932 9.925
angles: 90.00 90.00 90.00
Space group P-4m2 (No. 115)
One atom of each set of equivalent atoms:
Nd: 0.000 0.500 0.242 [2 per cell]
Be: 0.000 0.000 0.000 [1 per cell]
Be: 0.000 0.500 0.632 [2 per cell]
Be: 0.500 0.500 0.000 [1 per cell]
Si: 0.000 0.500 0.871 [2 per cell]
Si: 0.500 0.500 0.500 [1 per cell]
Pt: 0.000 0.000 0.500 [1 per cell]

Largest 10 diffraction maxima, low angle first, 5° ≤ 2θ ≤ 70°:
9.925 Å, I = 63; 3.655 Å, I = 88; 2.677 Å, I = 31; 2.531 Å, I = 56; 2.481 Å, I = 19; 2.425 Å, I = 100; 1.966 Å, I = 34; 1.772 Å, I = 20; 1.731 Å, I = 22; 1.553 Å, I = 25

---

No. 6
Structure and computed XRD peak list of LiYPbF6 (the GGA-PBE geometry in Alexandria; CuKα).
Lines closer than 0.1° are merged.

Structure:
abc: 5.6149 5.6149 10.6570
angles: 90.00 90.00 120.00
Space group P-31c (No. 163)
One atom of each set of equivalent atoms:
Li: 0.3333 0.6667 0.2500 [2 per cell]
Y: 0.3333 0.6667 0.7500 [2 per cell]
Pb: 0.0000 0.0000 0.0000 [2 per cell]
F: 0.0122 0.3628 0.1408 [12 per cell]

Largest 10 diffraction maxima, low angle first, 5° ≤ 2θ ≤ 70°:
4.863 Å, I = 32; 4.424 Å, I = 13; 3.592 Å, I = 100; 2.807 Å, I = 24; 2.484 Å, I = 14; 2.337 Å, I = 14; 2.212 Å, I = 26; 1.933 Å, I = 35; 1.737 Å, I = 26; 1.621 Å, I = 12

---

No. 7
Structure and computed XRD peak list of RbAl2Ag2 (the GGA-PBE geometry in Alexandria; CuKα).
Lines closer than 0.1° are merged.

Structure:
abc: 8.738 8.738 2.863
angles: 90.00 90.00 90.00
Space group P4/mbm (No. 127)
One atom of each set of equivalent atoms:
Rb: 0.000 0.000 0.000 [2 per cell]
Al: 0.127 0.373 0.500 [4 per cell]
Ag: 0.156 0.656 0.000 [4 per cell]

Largest 10 diffraction maxima, low angle first, 5° ≤ 2θ ≤ 70°:
3.908 Å, I = 78; 3.089 Å, I = 17; 2.863 Å, I = 33; 2.763 Å, I = 100; 2.309 Å, I = 95; 2.119 Å, I = 14; 1.988 Å, I = 44; 1.703 Å, I = 14; 1.614 Å, I = 14; 1.412 Å, I = 25

---

No. 8
Structure and computed XRD peak list of Nb2Te4MoSe2 (the GGA-PBE geometry in Alexandria; CuKα).
Lines closer than 0.1° are merged.

Structure:
abc: 3.5364 3.5364 22.4504
angles: 90.00 90.00 120.00
Space group P3m1 (No. 156)
One atom of each set of equivalent atoms:
Nb: 0.0000 0.0000 0.0000 [1 per cell]
Nb: 0.3333 0.6667 0.3268 [1 per cell]
Te: 0.0000 0.0000 0.2418 [1 per cell]
Te: 0.0000 0.0000 0.4126 [1 per cell]
Te: 0.3333 0.6667 0.0849 [1 per cell]
Te: 0.3333 0.6667 0.9143 [1 per cell]
Mo: 0.3333 0.6667 0.6791 [1 per cell]
Se: 0.0000 0.0000 0.6076 [1 per cell]
Se: 0.0000 0.0000 0.7506 [1 per cell]

Largest 10 diffraction maxima, low angle first, 5° ≤ 2θ ≤ 70°:
7.483 Å, I = 61; 3.742 Å, I = 15; 3.063 Å, I = 53; 2.688 Å, I = 31; 2.530 Å, I = 100; 2.215 Å, I = 19; 2.069 Å, I = 36; 1.768 Å, I = 41; 1.598 Å, I = 18; 1.449 Å, I = 17

---

No. 9
Structure and computed XRD peak list of Tm6MgTl (the GGA-PBE geometry in Alexandria; CuKα).
Lines closer than 0.1° are merged.

Structure:
abc: 4.956 4.956 18.485
angles: 90.00 90.00 90.00
Space group I4/mmm (No. 139)
One atom of each set of equivalent atoms:
Tm: 0.000 0.000 0.248 [4 per cell]
Tm: 0.000 0.500 0.118 [8 per cell]
Mg: 0.000 0.000 0.000 [2 per cell]
Tl: 0.000 0.000 0.500 [2 per cell]

Largest 10 diffraction maxima, low angle first, 5° ≤ 2θ ≤ 70°:
4.787 Å, I = 7; 3.862 Å, I = 5; 2.792 Å, I = 100; 2.478 Å, I = 37; 2.311 Å, I = 14; 1.752 Å, I = 13; 1.690 Å, I = 22; 1.484 Å, I = 30; 1.410 Å, I = 11; 1.396 Å, I = 12

---

No. 10
Structure and computed XRD peak list of TiNiRu (the GGA-PBE geometry in Alexandria; CuKα).
Lines closer than 0.1° are merged.

Structure:
abc: 3.057 3.057 8.803
angles: 90.00 90.00 90.00
Space group I4mm (No. 107)
One atom of each set of equivalent atoms:
Ti: 0.000 0.000 0.000 [2 per cell]
Ni: 0.000 0.000 0.340 [2 per cell]
Ru: 0.000 0.000 0.658 [2 per cell]

Largest 10 diffraction maxima, low angle first, 5° ≤ 2θ ≤ 70°:
4.402 Å, I = 7; 2.887 Å, I = 16; 2.201 Å, I = 3; 2.161 Å, I = 54; 2.117 Å, I = 100; 1.940 Å, I = 3; 1.542 Å, I = 4; 1.528 Å, I = 17; 1.467 Å, I = 7; 1.351 Å, I = 3

---

No. 11
Structure and computed XRD peak list of LaPu5 (the GGA-PBE geometry in Alexandria; CuKα).
Lines closer than 0.1° are merged.

Structure:
abc: 5.433 11.658 5.369
angles: 90.00 90.00 90.00
Space group Cmmm (No. 65)
One atom of each set of equivalent atoms:
La: 0.000 0.000 0.000 [2 per cell]
Pu: 0.000 0.177 0.500 [4 per cell]
Pu: 0.000 0.330 0.000 [4 per cell]
Pu: 0.000 0.500 0.500 [2 per cell]

Largest 10 diffraction maxima, low angle first, 5° ≤ 2θ ≤ 70°:
2.722 Å, I = 100; 2.685 Å, I = 19; 1.943 Å, I = 7; 1.909 Å, I = 15; 1.580 Å, I = 8; 1.574 Å, I = 8; 1.570 Å, I = 16; 1.557 Å, I = 15; 1.362 Å, I = 9; 1.358 Å, I = 2

---

No. 12
Structure and computed XRD peak list of Ac2ErZn3Pd4 (the GGA-PBE geometry in Alexandria; CuKα).
Lines closer than 0.1° are merged.

Structure:
abc: 4.429 4.429 11.273
angles: 90.00 90.00 90.00
Space group P-4m2 (No. 115)
One atom of each set of equivalent atoms:
Ac: 0.000 0.500 0.224 [2 per cell]
Er: 0.000 0.000 0.500 [1 per cell]
Zn: 0.000 0.500 0.884 [2 per cell]
Zn: 0.500 0.500 0.500 [1 per cell]
Pd: 0.000 0.000 0.000 [1 per cell]
Pd: 0.000 0.500 0.653 [2 per cell]
Pd: 0.500 0.500 0.000 [1 per cell]

Largest 10 diffraction maxima, low angle first, 5° ≤ 2θ ≤ 70°:
3.483 Å, I = 11; 2.865 Å, I = 42; 2.738 Å, I = 100; 2.378 Å, I = 16; 2.215 Å, I = 50; 2.009 Å, I = 17; 1.752 Å, I = 20; 1.566 Å, I = 17; 1.488 Å, I = 13; 1.359 Å, I = 23

---

No. 13
Structure and computed XRD peak list of FeCu4BiPbS6 (the GGA-PBE geometry in Alexandria; CuKα).
Lines closer than 0.1° are merged.

Structure:
abc: 3.893 10.815 12.126
angles: 90.00 90.00 90.00
Space group Pmc2_1 (No. 26)
One atom of each set of equivalent atoms:
Fe: 0.000 0.207 0.000 [2 per cell]
Cu: 0.000 0.018 0.399 [2 per cell]
Cu: 0.500 0.126 0.155 [2 per cell]
Cu: 0.500 0.285 0.857 [2 per cell]
Cu: 0.500 0.481 0.595 [2 per cell]
Bi: 0.000 0.346 0.316 [2 per cell]
Pb: 0.500 0.192 0.599 [2 per cell]
S: 0.000 0.024 0.089 [2 per cell]
S: 0.000 0.177 0.814 [2 per cell]
S: 0.000 0.388 0.530 [2 per cell]
S: 0.500 0.133 0.348 [2 per cell]
S: 0.500 0.311 0.052 [2 per cell]
S: 0.500 0.482 0.783 [2 per cell]

Largest 10 diffraction maxima, low angle first, 5° ≤ 2θ ≤ 70°:
3.786 Å, I = 43; 3.506 Å, I = 56; 3.276 Å, I = 81; 3.099 Å, I = 69; 3.057 Å, I = 87; 3.031 Å, I = 61; 2.643 Å, I = 100; 2.185 Å, I = 60; 1.993 Å, I = 39; 1.946 Å, I = 63